Record 1
# Nd6Ho2Mg
Calculated X-ray diffraction stick pattern, Cu Ka. Input: a cell relaxed with PBE.
Intensities are scaled so that the largest is 100.

Crystal structure
```
data_Nd6Ho2Mg
_chemical_formula_sum 'Nd12 Ho4 Mg2'
_symmetry_space_group_name_H-M 'P 42/m n m'
_symmetry_Int_Tables_number 136
_symmetry_space_group_name_Hall '-P 4n 2n'
_cell_length_a 10.766
_cell_length_b 10.766
_cell_length_c 5.145
_cell_angle_alpha 90.00
_cell_angle_beta 90.00
_cell_angle_gamma 90.00
loop_
_atom_site_label
_atom_site_type_symbol
_atom_site_fract_x
_atom_site_fract_y
_atom_site_fract_z
_atom_site_occupancy
Nd1 Nd 0.002 0.332 0.000 1
Nd2 Nd 0.161 0.839 0.500 1
Ho1 Ho 0.170 0.170 0.500 1
Mg1 Mg 0.000 0.000 0.000 1
```

Peak list (8 most intense, 2θ = 10–80°, in order of rising 2θ)
2.943 Å, 2θ = 30.37°, I = 100, hkl 3 0 1
2.572 Å, 2θ = 34.88°, I = 17, hkl 0 0 2
2.538 Å, 2θ = 35.37°, I = 33, hkl 3 3 0
1.806 Å, 2θ = 50.52°, I = 24, hkl 3 3 2
1.794 Å, 2θ = 50.89°, I = 12, hkl 6 0 0
1.547 Å, 2θ = 59.77°, I = 15, hkl 3 0 3
1.532 Å, 2θ = 60.42°, I = 28, hkl 6 3 1
1.472 Å, 2θ = 63.18°, I = 12, hkl 6 0 2

***

Record 2
# NaSmIn4S8
Calculated X-ray diffraction stick pattern, Cu Ka. Input: a cell relaxed with PBE.
Intensities are scaled so that the largest is 100.

Crystal structure
```
data_NaSmIn4S8
_chemical_formula_sum 'Na3 Sm3 In12 S24'
_symmetry_space_group_name_H-M 'R 3 m'
_symmetry_Int_Tables_number 160
_symmetry_space_group_name_Hall 'R 3 -2"'
_cell_length_a 7.8738
_cell_length_b 7.8738
_cell_length_c 19.6504
_cell_angle_alpha 90.00
_cell_angle_beta 90.00
_cell_angle_gamma 120.00
loop_
_atom_site_label
_atom_site_type_symbol
_atom_site_fract_x
_atom_site_fract_y
_atom_site_fract_z
_atom_site_occupancy
Na1 Na 0.0000 0.0000 0.0000 1
Sm1 Sm 0.0000 0.0000 0.6374 1
In1 In 0.0000 0.0000 0.2515 1
In2 In 0.1749 0.3498 0.4601 1
S1 S 0.0000 0.0000 0.3886 1
S2 S 0.0000 0.0000 0.8668 1
S3 S 0.0149 0.5074 0.3885 1
S4 S 0.1755 0.3510 0.2079 1
```

Peak list (8 most intense, 2θ = 10–80°, in order of rising 2θ)
6.442 Å, 2θ = 13.75°, I = 62, hkl 1 0 1
3.405 Å, 2θ = 26.17°, I = 53, hkl 0 1 5
3.374 Å, 2θ = 26.41°, I = 100, hkl 1 1 3
3.359 Å, 2θ = 26.53°, I = 33, hkl 0 2 1
2.801 Å, 2θ = 31.95°, I = 90, hkl 0 2 4
2.155 Å, 2θ = 41.92°, I = 40, hkl 1 2 5
1.993 Å, 2θ = 45.51°, I = 64, hkl 2 0 8
1.968 Å, 2θ = 46.11°, I = 65, hkl 2 2 0